Diffraction record for Li2MnF6. The powder diffraction line list is simulated, not measured: it uses a DFT-relaxed cell (GGA+U, Alexandria) and Cu Kα.

Principal peaks in the range 2θ = 10–90°, sorted by position:
2θ (°)	I_rel	h k l
19.71	43	0 0 2
20.41	26	1 0 0
22.69	100	1 0 1
28.52	27	1 0 2
36.35	15	1 0 3
41.14	83	1 1 2
51.90	10	2 0 3
54.74	40	1 1 4
56.91	8	2 1 1
64.21	21	3 0 0
64.61	9	2 1 3
73.49	12	2 -1 6

Cell and atoms:
a = 5.025 Å, b = 5.025 Å, c = 9.007 Å
α = 90.00°, β = 90.00°, γ = 120.00°
Atoms (fractional coordinates):
Li 0.000 0.000 0.000
Li 0.000 0.000 0.500
Li 0.333 0.667 0.250
Li 0.667 0.333 0.750
Mn 0.333 0.667 0.750
Mn 0.667 0.333 0.250
F 0.028 0.364 0.635
F 0.028 0.664 0.865
F 0.336 0.364 0.865
F 0.336 0.972 0.635
F 0.364 0.028 0.135
F 0.364 0.336 0.365
F 0.636 0.664 0.635
F 0.636 0.972 0.865
F 0.664 0.028 0.365
F 0.664 0.636 0.135
F 0.972 0.336 0.135
F 0.972 0.636 0.365